(1)
Starting from a structure optimized by DFT (GGA-PBE), the X-ray powder pattern of Rb4Hg4Pb was computed for λ = 1.5418 Å (Cu Kα).
Neutral-atom scattering factors, no anomalous dispersion.

abc: 10.533 10.533 7.398
angles: 90.00 90.00 90.00
Space group P4_2/n (No. 86, origin choice 2)
Inequivalent atoms, fractional coordinates:
Rb  0.036  0.821  0.101 (multiplicity 8)
Hg  0.011  0.135  0.411 (multiplicity 8)
Pb  0.250  0.250  0.250 (multiplicity 2)

Peak list (10 most intense, 10 to 90 degrees two-theta, in order of rising 2θ)
2θ 14.6, I 50, hkl 1 0 1
2θ 16.9, I 49, hkl 1 1 1
2θ 25.5, I 28, hkl 1 0 2
2θ 26.8, I 100, hkl 3 1 0
2θ 30.7, I 72, hkl 2 1 2
2θ 33.0, I 21, hkl 3 2 1
2θ 36.2, I 22, hkl 4 0 1
2θ 36.3, I 19, hkl 1 3 2
2θ 38.2, I 35, hkl 2 4 0
2θ 39.3, I 24, hkl 2 3 2

---

(2)
Starting from a structure optimized by DFT (GGA-PBE), the X-ray powder pattern of La2ScMnS5 was computed for λ = 1.5418 Å (Cu Kα).
Neutral-atom scattering factors, no anomalous dispersion.

abc: 3.938 16.691 11.803
angles: 90.00 90.00 90.00
Space group Cmc2_1 (No. 36)
Inequivalent atoms, fractional coordinates:
La  0.000  0.115  0.000 (multiplicity 4)
La  0.000  0.131  0.621 (multiplicity 4)
Sc  0.000  0.199  0.324 (multiplicity 4)
Mn  0.000  0.443  0.762 (multiplicity 4)
S  0.000  0.049  0.370 (multiplicity 4)
S  0.000  0.289  0.974 (multiplicity 4)
S  0.000  0.310  0.674 (multiplicity 4)
S  0.000  0.355  0.314 (multiplicity 4)
S  0.000  0.496  0.085 (multiplicity 4)

Peak list (10 most intense, 10 to 90 degrees two-theta, in order of rising 2θ)
2θ 21.3, I 36, hkl 0 4 0
2θ 25.0, I 63, hkl 0 2 3
2θ 27.8, I 66, hkl 1 3 0
2θ 31.7, I 25, hkl 1 3 2
2θ 32.6, I 100, hkl 1 1 3
2θ 33.1, I 41, hkl 0 6 1
2θ 38.5, I 49, hkl 1 5 2
2θ 39.7, I 36, hkl 0 2 5
2θ 42.3, I 29, hkl 1 5 3
2θ 46.1, I 53, hkl 2 0 0

---

(3)
Starting from a structure optimized by DFT (GGA-PBE), the X-ray powder pattern of CuSe2I was computed for λ = 1.5418 Å (Cu Kα).
Neutral-atom scattering factors, no anomalous dispersion.

abc: 8.867 13.295 4.740
angles: 90.00 90.00 90.00
Space group C222_1 (No. 20)
Inequivalent atoms, fractional coordinates:
Cu  0.195  0.000  0.000 (multiplicity 4)
Se  0.125  0.414  0.803 (multiplicity 8)
I  0.000  0.123  0.250 (multiplicity 4)

Peak list (10 most intense, 10 to 90 degrees two-theta, in order of rising 2θ)
2θ 13.3, I 59, hkl 0 2 0
2θ 23.0, I 100, hkl 0 2 1
2θ 30.7, I 29, hkl 2 2 1
2θ 33.7, I 18, hkl 2 4 0
2θ 36.5, I 32, hkl 3 1 1
2θ 40.2, I 18, hkl 1 5 1
2θ 41.4, I 25, hkl 3 3 1
2θ 45.9, I 15, hkl 3 5 0
2θ 47.1, I 15, hkl 0 4 2
2θ 49.8, I 24, hkl 3 1 2

---

(4)
Starting from a structure optimized by DFT (GGA-PBE), the X-ray powder pattern of K2SnH12N6 was computed for λ = 1.5418 Å (Cu Kα).
Neutral-atom scattering factors, no anomalous dispersion.

abc: 6.5180 6.5180 20.0558
angles: 90.00 90.00 120.00
Space group R-3 (No. 148, hexagonal axes)
Inequivalent atoms, fractional coordinates:
K  0.0000  0.0000  0.1800 (multiplicity 6)
Sn  0.0000  0.0000  0.0000 (multiplicity 3)
H  0.0372  0.2870  0.2967 (multiplicity 18)
H  0.0594  0.5134  0.2572 (multiplicity 18)
N  0.0045  0.7289  0.0664 (multiplicity 18)

Peak list (10 most intense, 10 to 90 degrees two-theta, in order of rising 2θ)
2θ 13.2, I 11, hkl 0 0 3
2θ 16.3, I 100, hkl 1 0 1
2θ 18.0, I 18, hkl 0 1 2
2θ 23.7, I 13, hkl 1 0 4
2θ 27.3, I 57, hkl 0 1 5
2θ 32.0, I 12, hkl 0 2 1
2θ 38.6, I 39, hkl 1 1 6
2θ 39.0, I 15, hkl 2 0 5
2θ 42.6, I 12, hkl 2 1 1
2θ 48.3, I 28, hkl 3 0 0